# 1
Diffraction record for Sm7P5Se. The powder diffractogram is computed, not measured: it uses a crystal structure in Alexandria, relaxed with PBE and Cu Ka.
Lines closer than 0.1° are merged.

Cell: 13.5489 4.0822 24.1644 Å, 90.00 90.02 90.00°
Space group C2/m (No. 12)
Symmetry-distinct sites (fractional):
Sm 0.0394 0.0000 0.2500 x4
Sm 0.0878 0.5000 0.1034 x4
Sm 0.0878 0.5000 0.3966 x4
Sm 0.1372 0.0000 0.5353 x4
Sm 0.1373 0.0000 0.9648 x4
Sm 0.1769 0.5000 0.6741 x4
Sm 0.1769 0.5000 0.8260 x4
P 0.0000 0.5000 0.0000 x2
P 0.0000 0.5000 0.5000 x2
P 0.0448 0.0000 0.6449 x4
P 0.0446 0.0000 0.8552 x4
P 0.2274 0.0000 0.0739 x4
P 0.2272 0.0000 0.4261 x4
Se 0.2019 0.5000 0.2497 x4

Main lines, most intense first (2θ from 10° to 90°):
- 3.076 Å, I = 100, hkl 2 0 7
- 2.938 Å, I = 82, hkl 3 1 2
- 2.835 Å, I = 67, hkl 3 1 -3
- 3.282 Å, I = 50, hkl 1 1 -4
- 2.046 Å, I = 46, hkl 6 0 5
- 1.701 Å, I = 35, hkl 2 2 7
- 2.041 Å, I = 31, hkl 0 2 0
- 3.039 Å, I = 30, hkl 1 1 5
- 1.969 Å, I = 26, hkl 6 0 -6
- 3.354 Å, I = 25, hkl 4 0 -1

=====

# 2
Diffraction record for Al4Ag3. The powder diffractogram is computed, not measured: it uses a crystal structure in Alexandria, relaxed with PBE and Cu Ka.
Lines closer than 0.1° are merged.

Cell: 3.9170 5.2707 6.3498 Å, 101.53 90.36 110.69°
Space group P1 (No. 1)
Symmetry-distinct sites (fractional):
Al 0.0000 0.0000 0.0000 x1
Al 0.1251 0.2514 0.4296 x1
Al 0.2845 0.5659 0.8580 x1
Al 0.7061 0.4139 0.1521 x1
Ag 0.4124 0.8269 0.2753 x1
Ag 0.5781 0.1564 0.7253 x1
Ag 0.8486 0.6920 0.5815 x1

Main lines, most intense first (2θ from 10° to 90°):
- 2.473 Å, I = 100, hkl 1 1 -1
- 2.427 Å, I = 96, hkl 1 -2 1
- 2.271 Å, I = 72, hkl 1 0 2
- 2.264 Å, I = 72, hkl -1 1 2
- 2.068 Å, I = 58, hkl 0 1 -3
- 2.096 Å, I = 54, hkl 0 2 1
- 6.200 Å, I = 51, hkl 0 0 1
- 1.958 Å, I = 47, hkl 2 -1 0
- 3.458 Å, I = 25, hkl 0 1 1
- 4.814 Å, I = 24, hkl 0 1 0